Starting from a GGA-PBE-relaxed structure, the PXRD pattern of Rb3BiO3 was calculated for a wavelength of 1.5418 Å.

Atomic structure:
Unit cell a=8.9714 b=8.9714 c=8.9714 alpha=90.00 beta=90.00 gamma=90.00
Atoms (fractional coordinates):
Rb: 0.0211 0.0211 0.0211
Rb: 0.2102 0.2898 0.7102
Rb: 0.2156 0.7156 0.7844
Rb: 0.2844 0.2844 0.2844
Rb: 0.2898 0.7102 0.2102
Rb: 0.4789 0.9789 0.5211
Rb: 0.5211 0.4789 0.9789
Rb: 0.7102 0.2102 0.2898
Rb: 0.7156 0.7844 0.2156
Rb: 0.7844 0.2156 0.7156
Rb: 0.7898 0.7898 0.7898
Rb: 0.9789 0.5211 0.4789
Bi: 0.0138 0.9862 0.4862
Bi: 0.4862 0.0138 0.9862
Bi: 0.5138 0.5138 0.5138
Bi: 0.9862 0.4862 0.0138
O: 0.0035 0.2151 0.4389
O: 0.0611 0.9965 0.7151
O: 0.2151 0.4389 0.0035
O: 0.2849 0.5611 0.5035
O: 0.4389 0.0035 0.2151
O: 0.4965 0.7849 0.9389
O: 0.5035 0.2849 0.5611
O: 0.5611 0.5035 0.2849
O: 0.7151 0.0611 0.9965
O: 0.7849 0.9389 0.4965
O: 0.9389 0.4965 0.7849
O: 0.9965 0.7151 0.0611

Principal peaks in the range 2θ from 10° to 80°, sorted by position:
2θ/deg  I (rel.)
17.12  21
19.79  15
28.13  100
31.54  18
33.12  11
40.21  19
45.20  11
49.79  29


Starting from a GGA-PBE-relaxed structure, the PXRD pattern of Rb2Bi2O5 was calculated for a wavelength of 1.5418 Å.

Atomic structure:
Unit cell a=4.3674 b=4.3674 c=9.0617 alpha=90.00 beta=90.00 gamma=90.00
Atoms (fractional coordinates):
Rb: 0.0000 0.0000 0.0000
Rb: 0.0000 0.0000 0.5000
Bi: 0.5000 0.5000 0.2344
Bi: 0.5000 0.5000 0.7656
O: 0.0000 0.5000 0.2706
O: 0.0000 0.5000 0.7294
O: 0.5000 0.0000 0.2706
O: 0.5000 0.0000 0.7294
O: 0.5000 0.5000 0.0000

Principal peaks in the range 2θ from 10° to 80°, sorted by position:
2θ/deg  I (rel.)
19.59  15
20.33  23
28.38  100
28.91  43
41.35  26
49.93  18
50.91  41
58.73  16


Starting from a GGA-PBE-relaxed structure, the PXRD pattern of Re2BiO6 was calculated for a wavelength of 1.5418 Å.

Atomic structure:
Unit cell a=8.5074 b=8.5074 c=5.5923 alpha=92.16 beta=92.16 gamma=34.15
Atoms (fractional coordinates):
Re: 0.0540 0.5833 0.6124
Re: 0.4167 0.9460 0.8876
Re: 0.5833 0.0540 0.1124
Re: 0.9460 0.4167 0.3876
Bi: 0.2753 0.7247 0.2500
Bi: 0.7247 0.2753 0.7500
O: 0.1105 0.1671 0.1106
O: 0.1671 0.1105 0.6106
O: 0.2625 0.3059 0.3299
O: 0.3059 0.2625 0.8299
O: 0.3309 0.5277 0.5827
O: 0.4723 0.6691 0.9173
O: 0.5277 0.3309 0.0827
O: 0.6691 0.4723 0.4173
O: 0.6941 0.7375 0.1701
O: 0.7375 0.6941 0.6701
O: 0.8329 0.8895 0.3894
O: 0.8895 0.8329 0.8894

Principal peaks in the range 2θ from 10° to 80°, sorted by position:
2θ/deg  I (rel.)
24.66  74
28.73  100
29.46  52
33.07  35
33.50  31
46.64  29
49.95  28
54.77  28